TlCu4Br8: calculated X-ray powder pattern (copper Kα), based on a crystal structure in Alexandria, relaxed with GGA-PBE.
Neutral-atom scattering factors, no anomalous dispersion.

abc: 7.8919 7.8919 7.8919
angles: 59.05 59.05 59.05
Fractional positions:
1 Tl 0.0000 0.0000 0.0000
2 Cu 0.0000 0.5000 0.5000
3 Cu 0.5000 0.0000 0.5000
4 Cu 0.5000 0.5000 0.0000
5 Cu 0.5000 0.5000 0.5000
6 Br 0.2660 0.2660 0.7279
7 Br 0.2660 0.7279 0.2660
8 Br 0.2699 0.2699 0.2699
9 Br 0.2721 0.7340 0.7340
10 Br 0.7279 0.2660 0.2660
11 Br 0.7301 0.7301 0.7301
12 Br 0.7340 0.2720 0.7340
13 Br 0.7340 0.7340 0.2721

The 6 most intense peaks (10 to 80 degrees two-theta), sorted by position:
13.6°, d = 6.489 Å, I 29
16.0°, d = 5.539 Å, I 19
32.3°, d = 2.770 Å, I 100
46.0°, d = 1.973 Å, I 33
46.7°, d = 1.945 Å, I 35
57.9°, d = 1.592 Å, I 17